# La3TbPb2
Computed X-ray diffraction stick pattern, a wavelength of 1.5418 Å. Input: a DFT-relaxed cell (GGA-PBE, Alexandria).
Intensities are scaled so that the largest is 1000.

Structure:
Unit cell a=4.770 b=4.770 c=8.971 alpha=90.00 beta=90.00 gamma=90.00
Fractional positions:
La (0.000, 0.000, 0.000)
La (0.000, 0.500, 0.652)
La (0.500, 0.000, 0.348)
Tb (0.500, 0.500, 0.000)
Pb (0.000, 0.500, 0.277)
Pb (0.500, 0.000, 0.723)

Main lines, in order of rising 2θ (2θ = 10–90°):
d/Å  intensity
3.373  226
3.157  696
2.990  319
2.696  1000
2.534  262
2.385  570
1.865  349
1.737  172
1.687  200
1.430  291

---

# La2Tb3Pb4
Computed X-ray diffraction stick pattern, a wavelength of 1.5418 Å. Input: a DFT-relaxed cell (GGA-PBE, Alexandria).
Intensities are scaled so that the largest is 1000.

Structure:
Unit cell a=8.562 b=8.538 c=8.314 alpha=90.00 beta=111.20 gamma=90.00
Fractional positions:
La (0.193, 0.179, 0.059)
La (0.193, 0.321, 0.559)
La (0.807, 0.679, 0.441)
La (0.807, 0.821, 0.941)
Tb (0.246, 0.660, 0.240)
Tb (0.246, 0.840, 0.740)
Tb (0.500, 0.000, 0.500)
Tb (0.500, 0.500, 0.000)
Tb (0.754, 0.160, 0.260)
Tb (0.754, 0.340, 0.760)
Pb (0.086, 0.542, 0.836)
Pb (0.086, 0.958, 0.336)
Pb (0.493, 0.140, 0.860)
Pb (0.493, 0.360, 0.360)
Pb (0.507, 0.640, 0.640)
Pb (0.507, 0.860, 0.140)
Pb (0.914, 0.042, 0.664)
Pb (0.914, 0.458, 0.164)

Main lines, in order of rising 2θ (2θ = 10–90°):
d/Å  intensity
3.222  379
3.180  269
3.003  947
2.965  427
2.916  263
2.894  806
2.696  315
2.672  462
2.661  285
2.634  1000

---

# La4TcPb
Computed X-ray diffraction stick pattern, a wavelength of 1.5418 Å. Input: a DFT-relaxed cell (GGA-PBE, Alexandria).
Intensities are scaled so that the largest is 1000.

Structure:
Unit cell a=8.301 b=8.301 c=6.477 alpha=100.35 beta=100.35 gamma=113.96
Fractional positions:
La (0.057, 0.724, 0.947)
La (0.205, 0.356, 0.620)
La (0.276, 0.943, 0.553)
La (0.356, 0.205, 0.120)
La (0.644, 0.795, 0.880)
La (0.724, 0.057, 0.447)
La (0.795, 0.644, 0.380)
La (0.943, 0.276, 0.053)
Tc (0.002, 0.998, 0.250)
Tc (0.998, 0.002, 0.750)
Pb (0.376, 0.624, 0.250)
Pb (0.624, 0.376, 0.750)

Main lines, in order of rising 2θ (2θ = 10–90°):
d/Å  intensity
3.170  294
3.153  526
2.919  627
2.801  1000
2.655  441
2.647  295
2.525  240
2.510  286
2.040  247
1.743  240

---

# LaTcPb2
Computed X-ray diffraction stick pattern, a wavelength of 1.5418 Å. Input: a DFT-relaxed cell (GGA-PBE, Alexandria).
Intensities are scaled so that the largest is 1000.

Structure:
Unit cell a=6.169 b=6.169 c=6.169 alpha=146.60 beta=125.90 gamma=65.09
Fractional positions:
La (0.000, 0.000, 0.000)
Tc (0.500, 0.500, 0.000)
Pb (0.286, 0.786, 0.500)
Pb (0.714, 0.214, 0.500)

Main lines, in order of rising 2θ (2θ = 10–90°):
d/Å  intensity
2.949  140
2.805  302
2.597  1000
1.907  114
1.794  66
1.772  79
1.576  190
1.511  77
1.499  137
1.129  67

---

# LaTcPb2
Computed X-ray diffraction stick pattern, a wavelength of 1.5418 Å. Input: a DFT-relaxed cell (GGA-PBE, Alexandria).
Intensities are scaled so that the largest is 1000.

Structure:
Unit cell a=5.604 b=5.604 c=6.437 alpha=115.37 beta=115.37 gamma=37.04
Fractional positions:
La (0.000, 0.000, 0.000)
Tc (0.235, 0.235, 0.977)
Pb (0.632, 0.632, 0.591)
Pb (0.831, 0.831, 0.364)

Main lines, in order of rising 2θ (2θ = 10–90°):
d/Å  intensity
3.333  350
3.172  389
3.105  255
3.042  316
2.702  1000
2.654  625
2.504  249
2.369  214
2.232  501
1.674  285

---

# La4Te3Pb
Computed X-ray diffraction stick pattern, a wavelength of 1.5418 Å. Input: a DFT-relaxed cell (GGA-PBE, Alexandria).
Intensities are scaled so that the largest is 1000.

Structure:
Unit cell a=7.995 b=7.995 c=7.995 alpha=131.88 beta=131.88 gamma=70.42
Fractional positions:
La (0.000, 0.500, 0.500)
La (0.249, 0.249, 0.000)
La (0.500, 0.000, 0.500)
La (0.751, 0.751, 0.000)
Te (0.250, 0.750, 0.500)
Te (0.500, 0.500, 0.000)
Te (0.750, 0.250, 0.500)
Pb (0.000, 0.000, 0.000)

Main lines, in order of rising 2θ (2θ = 10–90°):
d/Å  intensity
3.262  1000
2.306  775
1.883  280
1.633  44
1.630  88
1.459  243
1.458  121
1.332  268
1.154  57
1.152  29

---

# La3ThPb5
Computed X-ray diffraction stick pattern, a wavelength of 1.5418 Å. Input: a DFT-relaxed cell (GGA-PBE, Alexandria).
Intensities are scaled so that the largest is 1000.

Structure:
Unit cell a=9.937 b=9.937 c=6.750 alpha=90.00 beta=90.00 gamma=120.00
Fractional positions:
La (0.000, 0.378, 0.250)
La (0.000, 0.622, 0.750)
La (0.378, 0.000, 0.250)
La (0.378, 0.378, 0.750)
La (0.622, 0.000, 0.750)
La (0.622, 0.622, 0.250)
Th (0.000, 0.000, 0.000)
Th (0.000, 0.000, 0.500)
Pb (0.000, 0.291, 0.750)
Pb (0.000, 0.709, 0.250)
Pb (0.291, 0.000, 0.750)
Pb (0.291, 0.291, 0.250)
Pb (0.333, 0.667, 0.000)
Pb (0.333, 0.667, 0.500)
Pb (0.667, 0.333, 0.000)
Pb (0.667, 0.333, 0.500)
Pb (0.709, 0.000, 0.250)
Pb (0.709, 0.709, 0.750)

Main lines, in order of rising 2θ (2θ = 10–90°):
d/Å  intensity
2.930  282
2.869  910
2.792  1000
2.250  99
2.001  325
1.656  103
1.641  281
1.581  95
1.454  240
1.276  94

---

# LaTlPb
Computed X-ray diffraction stick pattern, a wavelength of 1.5418 Å. Input: a DFT-relaxed cell (GGA-PBE, Alexandria).
Intensities are scaled so that the largest is 1000.

Structure:
Unit cell a=6.682 b=6.454 c=4.035 alpha=75.22 beta=69.06 gamma=35.73
Fractional positions:
La (0.000, 0.000, 0.000)
Tl (0.676, 0.676, 0.324)
Pb (0.320, 0.320, 0.680)

Main lines, in order of rising 2θ (2θ = 10–90°):
d/Å  intensity
3.104  340
2.797  1000
2.578  207
1.983  195
1.972  84
1.727  245
1.665  99
1.527  165
1.398  111
1.254  87

---

# La10Tl3Pb3
Computed X-ray diffraction stick pattern, a wavelength of 1.5418 Å. Input: a DFT-relaxed cell (GGA-PBE, Alexandria).
Intensities are scaled so that the largest is 1000.

Structure:
Unit cell a=9.557 b=9.557 c=7.080 alpha=90.00 beta=90.00 gamma=120.00
Fractional positions:
La (0.000, 0.242, 0.000)
La (0.000, 0.762, 0.500)
La (0.238, 0.238, 0.500)
La (0.242, 0.000, 0.000)
La (0.333, 0.667, 0.249)
La (0.333, 0.667, 0.751)
La (0.667, 0.333, 0.249)
La (0.667, 0.333, 0.751)
La (0.758, 0.758, 0.000)
La (0.762, 0.000, 0.500)
Tl (0.000, 0.400, 0.500)
Tl (0.400, 0.000, 0.500)
Tl (0.600, 0.600, 0.500)
Pb (0.000, 0.606, 0.000)
Pb (0.394, 0.394, 0.000)
Pb (0.606, 0.000, 0.000)

Main lines, in order of rising 2θ (2θ = 10–90°):
d/Å  intensity
3.540  263
3.128  220
2.861  1000
2.844  711
2.759  377
2.690  139
2.184  227
1.980  130
1.884  301
1.499  223

---

# LaTlPb
Computed X-ray diffraction stick pattern, a wavelength of 1.5418 Å. Input: a DFT-relaxed cell (GGA-PBE, Alexandria).
Intensities are scaled so that the largest is 1000.

Structure:
Unit cell a=6.205 b=6.205 c=6.663 alpha=90.00 beta=90.00 gamma=132.68
Fractional positions:
La (0.161, 0.839, 0.750)
La (0.839, 0.161, 0.250)
Tl (0.500, 0.500, 0.000)
Tl (0.500, 0.500, 0.500)
Pb (0.143, 0.857, 0.250)
Pb (0.857, 0.143, 0.750)

Main lines, in order of rising 2θ (2θ = 10–90°):
d/Å  intensity
3.015  1000
2.874  304
2.690  870
2.490  323
2.162  341
1.882  182
1.633  272
1.473  142
1.458  232
1.401  188

---

# La2Tm3Pb4
Computed X-ray diffraction stick pattern, a wavelength of 1.5418 Å. Input: a DFT-relaxed cell (GGA-PBE, Alexandria).
Intensities are scaled so that the largest is 1000.

Structure:
Unit cell a=8.465 b=8.437 c=8.258 alpha=90.00 beta=111.33 gamma=90.00
Fractional positions:
La (0.192, 0.179, 0.057)
La (0.192, 0.321, 0.557)
La (0.808, 0.679, 0.443)
La (0.808, 0.821, 0.943)
Tm (0.247, 0.657, 0.241)
Tm (0.247, 0.843, 0.741)
Tm (0.500, 0.000, 0.500)
Tm (0.500, 0.500, 0.000)
Tm (0.753, 0.157, 0.259)
Tm (0.753, 0.343, 0.759)
Pb (0.088, 0.545, 0.837)
Pb (0.088, 0.955, 0.337)
Pb (0.496, 0.141, 0.859)
Pb (0.496, 0.359, 0.359)
Pb (0.504, 0.641, 0.641)
Pb (0.504, 0.859, 0.141)
Pb (0.912, 0.045, 0.663)
Pb (0.912, 0.455, 0.163)

Main lines, in order of rising 2θ (2θ = 10–90°):
d/Å  intensity
3.194  362
3.144  249
2.969  1000
2.938  414
2.880  241
2.866  817
2.671  408
2.642  506
2.628  286
2.615  805

---

# La8Tm2Pb
Computed X-ray diffraction stick pattern, a wavelength of 1.5418 Å. Input: a DFT-relaxed cell (GGA-PBE, Alexandria).
Intensities are scaled so that the largest is 1000.

Structure:
Unit cell a=9.710 b=9.710 c=8.274 alpha=105.39 beta=105.39 gamma=30.14
Fractional positions:
La (0.045, 0.045, 0.235)
La (0.137, 0.137, 0.681)
La (0.324, 0.324, 0.592)
La (0.408, 0.408, 0.051)
La (0.592, 0.592, 0.949)
La (0.676, 0.676, 0.408)
La (0.863, 0.863, 0.319)
La (0.955, 0.955, 0.765)
Tm (0.227, 0.227, 0.132)
Tm (0.773, 0.773, 0.868)
Pb (0.500, 0.500, 0.500)

Main lines, in order of rising 2θ (2θ = 10–90°):
d/Å  intensity
2.975  1000
2.622  176
2.586  170
2.525  161
1.839  62
1.819  120
1.806  118
1.574  147
1.558  143
1.531  139